(1)
Theoretical powder XRD pattern
Compound: PrSm5Ho3
Radiation: copper Kα
Structure: a GGA-PBE-relaxed structure

Main lines, by intensity (5° ≤ 2θ ≤ 70°):
Position (°2θ)	I/Imax
30.95	100.0
31.09	44.5
30.63	37.3
31.21	17.5
55.24	17.3
32.65	14.2
35.43	14.1
31.85	12.6
38.41	11.0
35.24	10.6

```
data_PrSm5Ho3
_symmetry_space_group_name_H-M 'C 1 2/c 1'
_symmetry_Int_Tables_number 15
_symmetry_space_group_name_Hall '-C 2yc'
_cell_length_a 16.413
_cell_length_b 6.766
_cell_length_c 11.575
_cell_angle_alpha 90.00
_cell_angle_beta 109.77
_cell_angle_gamma 90.00
loop_
_atom_site_label
_atom_site_type_symbol
_atom_site_fract_x
_atom_site_fract_y
_atom_site_fract_z
Pr1 Pr 0.000 0.239 0.250
Sm1 Sm 0.000 0.314 0.750
Sm2 Sm 0.111 0.496 0.051
Sm3 Sm 0.173 0.095 0.851
Ho1 Ho 0.000 0.000 0.000
Ho2 Ho 0.240 0.398 0.371
```

=====

(2)
Theoretical powder XRD pattern
Compound: Ac2CeAu6
Radiation: copper Kα
Structure: a GGA-PBE-relaxed structure

Main lines, by intensity (5° ≤ 2θ ≤ 70°):
Position (°2θ)	I/Imax
31.83	100.0
37.18	75.3
62.21	34.3
49.73	29.4
63.69	28.2
67.02	13.8
47.97	12.3
44.43	10.9
23.46	9.4
12.20	1.5

```
data_Ac2CeAu6
_symmetry_space_group_name_H-M 'P 6/m m m'
_symmetry_Int_Tables_number 191
_symmetry_space_group_name_Hall '-P 6 2'
_cell_length_a 8.3778
_cell_length_b 8.3778
_cell_length_c 3.7927
_cell_angle_alpha 90.00
_cell_angle_beta 90.00
_cell_angle_gamma 120.00
loop_
_atom_site_label
_atom_site_type_symbol
_atom_site_fract_x
_atom_site_fract_y
_atom_site_fract_z
Ac1 Ac 0.3333 0.6667 0.0000
Ce1 Ce 0.0000 0.0000 0.0000
Au1 Au 0.0000 0.3309 0.5000
```

=====

(3)
Theoretical powder XRD pattern
Compound: Sm4AlSn2
Radiation: copper Kα
Structure: a GGA-PBE-relaxed structure

Main lines, by intensity (5° ≤ 2θ ≤ 70°):
Position (°2θ)	I/Imax
35.94	100.0
28.68	75.3
35.34	45.7
23.48	43.5
25.00	31.8
37.78	26.3
46.61	20.2
54.03	19.1
60.23	18.9
64.61	18.4

```
data_Sm4AlSn2
_symmetry_space_group_name_H-M 'R -3 m'
_symmetry_Int_Tables_number 166
_symmetry_space_group_name_Hall '-R 3 2"'
_cell_length_a 4.9973
_cell_length_b 4.9973
_cell_length_c 31.3650
_cell_angle_alpha 90.00
_cell_angle_beta 90.00
_cell_angle_gamma 120.00
loop_
_atom_site_label
_atom_site_type_symbol
_atom_site_fract_x
_atom_site_fract_y
_atom_site_fract_z
Sm1 Sm 0.0000 0.0000 0.1238
Sm2 Sm 0.0000 0.0000 0.2966
Al1 Al 0.0000 0.0000 0.5000
Sn1 Sn 0.0000 0.0000 0.4048
```

=====

(4)
Theoretical powder XRD pattern
Compound: ZrScPa
Radiation: copper Kα
Structure: a GGA-PBE-relaxed structure

Main lines, by intensity (5° ≤ 2θ ≤ 70°):
Position (°2θ)	I/Imax
34.68	100.0
19.58	34.6
34.90	27.6
34.06	24.4
49.56	20.6
61.37	19.3
19.92	15.3
62.42	12.1
62.02	9.6
50.16	9.1

```
data_ZrScPa
_symmetry_space_group_name_H-M 'I m m m'
_symmetry_Int_Tables_number 71
_symmetry_space_group_name_Hall '-I 2 2'
_cell_length_a 5.265
_cell_length_b 6.294
_cell_length_c 8.914
_cell_angle_alpha 90.00
_cell_angle_beta 90.00
_cell_angle_gamma 90.00
loop_
_atom_site_label
_atom_site_type_symbol
_atom_site_fract_x
_atom_site_fract_y
_atom_site_fract_z
Zr1 Zr 0.000 0.000 0.172
Sc1 Sc 0.000 0.500 0.164
Pa1 Pa 0.000 0.280 0.500
```

=====

(5)
Theoretical powder XRD pattern
Compound: La3Te2N
Radiation: copper Kα
Structure: a GGA-PBE-relaxed structure

Main lines, by intensity (5° ≤ 2θ ≤ 70°):
Position (°2θ)	I/Imax
27.92	100.0
29.15	96.6
25.49	93.8
30.63	62.5
34.46	42.1
36.71	36.9
49.82	33.8
32.80	31.6
33.80	31.4
33.53	30.3

```
data_La3Te2N
_symmetry_space_group_name_H-M 'C 1 2/c 1'
_symmetry_Int_Tables_number 15
_symmetry_space_group_name_Hall '-C 2yc'
_cell_length_a 12.072
_cell_length_b 8.009
_cell_length_c 7.722
_cell_angle_alpha 90.00
_cell_angle_beta 104.88
_cell_angle_gamma 90.00
loop_
_atom_site_label
_atom_site_type_symbol
_atom_site_fract_x
_atom_site_fract_y
_atom_site_fract_z
La1 La 0.000 0.128 0.250
La2 La 0.143 0.459 0.967
Te1 Te 0.162 0.174 0.666
N1 N 0.000 0.420 0.250
```

=====

(6)
Theoretical powder XRD pattern
Compound: TbY6Zn2
Radiation: copper Kα
Structure: a GGA-PBE-relaxed structure

Main lines, by intensity (5° ≤ 2θ ≤ 70°):
Position (°2θ)	I/Imax
33.54	100.0
32.41	25.0
31.76	24.6
50.24	8.9
46.09	8.6
7.91	8.0
61.07	7.8
60.67	7.4
45.92	7.0
58.48	6.4

```
data_TbY6Zn2
_symmetry_space_group_name_H-M 'C 1 2/m 1'
_symmetry_Int_Tables_number 12
_symmetry_space_group_name_Hall '-C 2y'
_cell_length_a 12.534
_cell_length_b 3.632
_cell_length_c 11.859
_cell_angle_alpha 90.00
_cell_angle_beta 109.51
_cell_angle_gamma 90.00
loop_
_atom_site_label
_atom_site_type_symbol
_atom_site_fract_x
_atom_site_fract_y
_atom_site_fract_z
Tb1 Tb 0.000 0.000 0.000
Y1 Y 0.026 0.000 0.327
Y2 Y 0.185 0.500 0.589
Y3 Y 0.190 0.500 0.875
Zn1 Zn 0.149 0.500 0.203
```

=====

(7)
Theoretical powder XRD pattern
Compound: Hg2Pd2Au5
Radiation: copper Kα
Structure: a GGA-PBE-relaxed structure

Main lines, by intensity (5° ≤ 2θ ≤ 70°):
Position (°2θ)	I/Imax
38.19	100.0
38.33	94.2
38.56	49.3
37.50	49.3
54.87	33.5
68.16	31.0
69.45	27.1
55.57	15.6
68.97	15.5
65.37	10.7

```
data_Hg2Pd2Au5
_symmetry_space_group_name_H-M 'I m a 2'
_symmetry_Int_Tables_number 46
_symmetry_space_group_name_Hall 'I 2 -2a'
_cell_length_a 17.130
_cell_length_b 4.797
_cell_length_c 8.116
_cell_angle_alpha 90.00
_cell_angle_beta 90.00
_cell_angle_gamma 90.00
loop_
_atom_site_label
_atom_site_type_symbol
_atom_site_fract_x
_atom_site_fract_y
_atom_site_fract_z
Hg1 Hg 0.000 0.000 0.000
Hg2 Hg 0.250 0.048 0.343
Pd1 Pd 0.085 0.501 0.171
Au1 Au 0.083 0.002 0.334
Au2 Au 0.164 0.509 0.505
Au3 Au 0.250 0.548 0.178
```

=====

(8)
Theoretical powder XRD pattern
Compound: Pa4CoTe3
Radiation: copper Kα
Structure: a GGA-PBE-relaxed structure

Main lines, by intensity (5° ≤ 2θ ≤ 70°):
Position (°2θ)	I/Imax
29.62	100.0
29.76	49.6
43.38	34.5
41.58	30.7
42.32	16.2
42.43	16.1
52.59	14.9
25.60	14.1
61.50	10.6
61.85	9.6

```
data_Pa4CoTe3
_symmetry_space_group_name_H-M 'P 1 2/c 1'
_symmetry_Int_Tables_number 13
_symmetry_space_group_name_Hall '-P 2yc'
_cell_length_a 7.570
_cell_length_b 8.542
_cell_length_c 7.172
_cell_angle_alpha 90.00
_cell_angle_beta 109.30
_cell_angle_gamma 90.00
loop_
_atom_site_label
_atom_site_type_symbol
_atom_site_fract_x
_atom_site_fract_y
_atom_site_fract_z
Pa1 Pa 0.202 0.102 0.005
Pa2 Pa 0.219 0.345 0.468
Co1 Co 0.000 0.119 0.250
Te1 Te 0.000 0.375 0.750
Te2 Te 0.500 0.127 0.750
Te3 Te 0.500 0.383 0.250
```

=====

What did the second record say?
Theoretical powder XRD pattern
Compound: Ac2CeAu6
Radiation: copper Kα
Structure: a GGA-PBE-relaxed structure

Main lines, by intensity (5° ≤ 2θ ≤ 70°):
Position (°2θ)	I/Imax
31.83	100.0
37.18	75.3
62.21	34.3
49.73	29.4
63.69	28.2
67.02	13.8
47.97	12.3
44.43	10.9
23.46	9.4
12.20	1.5

```
data_Ac2CeAu6
_symmetry_space_group_name_H-M 'P 6/m m m'
_symmetry_Int_Tables_number 191
_symmetry_space_group_name_Hall '-P 6 2'
_cell_length_a 8.3778
_cell_length_b 8.3778
_cell_length_c 3.7927
_cell_angle_alpha 90.00
_cell_angle_beta 90.00
_cell_angle_gamma 120.00
loop_
_atom_site_label
_atom_site_type_symbol
_atom_site_fract_x
_atom_site_fract_y
_atom_site_fract_z
Ac1 Ac 0.3333 0.6667 0.0000
Ce1 Ce 0.0000 0.0000 0.0000
Au1 Au 0.0000 0.3309 0.5000
```